This entry pairs a crystal structure of Ce5Si3 with its computed powder XRD pattern. Radiation: Cu Kα. Structure: a structure optimized by DFT (GGA-PBE).
Neutral-atom scattering factors, no anomalous dispersion.

Unit cell a=8.8361 b=8.8361 c=5.9715 alpha=90.00 beta=90.00 gamma=60.29
Sites, in units of the cell vectors:
Ce  0.1669  0.1669  0.0000
Ce  0.1669  0.1669  0.5000
Ce  0.2392  0.4996  0.2500
Ce  0.2389  0.7611  0.7500
Ce  0.4996  0.2392  0.7500
Ce  0.5004  0.7608  0.2500
Ce  0.7611  0.2389  0.2500
Ce  0.7608  0.5004  0.7500
Ce  0.8331  0.8331  0.0000
Ce  0.8331  0.8331  0.5000
Si  0.1164  0.4999  0.7500
Si  0.1164  0.8836  0.2500
Si  0.4999  0.1164  0.2500
Si  0.5001  0.8836  0.7500
Si  0.8836  0.1164  0.7500
Si  0.8836  0.5001  0.2500

Peak list (8 most intense, 10 to 80 degrees two-theta, in order of rising 2θ)
two_theta, Rel. int.
23.18, 271
25.05, 605
30.91, 308
32.17, 368
34.38, 572
34.48, 281
35.08, 467
36.30, 1000


This entry pairs a crystal structure of Ce2ZnBi4 with its computed powder XRD pattern. Radiation: Cu Kα. Structure: a structure optimized by DFT (GGA-PBE).
Neutral-atom scattering factors, no anomalous dispersion.

Unit cell a=4.6255 b=4.6255 c=9.8391 alpha=90.00 beta=90.00 gamma=90.00
Sites, in units of the cell vectors:
Ce  0.0000  0.5000  0.2384
Ce  0.5000  0.0000  0.7616
Zn  0.0000  0.0000  0.0000
Bi  0.0000  0.0000  0.5000
Bi  0.0000  0.5000  0.8348
Bi  0.5000  0.0000  0.1652
Bi  0.5000  0.5000  0.5000

Peak list (8 most intense, 10 to 80 degrees two-theta, in order of rising 2θ)
two_theta, Rel. int.
26.45, 202
27.20, 328
28.76, 496
32.88, 1000
38.94, 490
48.14, 256
54.43, 181
66.71, 266


This entry pairs a crystal structure of Cs2KGaBr6 with its computed powder XRD pattern. Radiation: Cu Kα. Structure: a structure optimized by DFT (GGA-PBE).
Neutral-atom scattering factors, no anomalous dispersion.

Unit cell a=8.1437 b=8.1437 c=8.1437 alpha=60.00 beta=60.00 gamma=60.00
Sites, in units of the cell vectors:
Cs  0.2500  0.2500  0.2500
Cs  0.7500  0.7500  0.7500
K  0.0000  0.0000  0.0000
Ga  0.5000  0.5000  0.5000
Br  0.2763  0.2763  0.7237
Br  0.2763  0.7237  0.2763
Br  0.2763  0.7237  0.7237
Br  0.7237  0.2763  0.2763
Br  0.7237  0.2763  0.7237
Br  0.7237  0.7237  0.2763

Peak list (8 most intense, 10 to 80 degrees two-theta, in order of rising 2θ)
two_theta, Rel. int.
13.32, 173
21.83, 344
26.82, 1000
31.06, 946
44.50, 627
52.72, 358
55.26, 199
73.56, 219